# Li9Mn2Co5O16
Simulated XRD peak list, Cu Kα (λ = 1.5418 Å). Input: a crystal structure in the Materials Project, relaxed with PBE+U.
Lines closer than 0.1° are merged.

Crystal structure
Cell lengths 5.9324, 6.5679, 7.7349 Å; angles 89.68, 79.97, 76.11 degrees
Element x y z (fractional)
Li 0.0000 0.0000 0.0000
Li 0.0006 0.4995 0.5015
Li 0.1287 0.3682 0.1161
Li 0.2469 0.2473 0.7575
Li 0.3701 0.1266 0.3730
Li 0.5082 0.9961 0.9904
Li 0.6263 0.8724 0.6259
Li 0.7520 0.7565 0.2418
Li 0.8708 0.6362 0.8820
Mn 0.4991 0.5003 0.4982
Mn 0.8783 0.1269 0.3734
Co 0.1184 0.8757 0.6347
Co 0.2412 0.7542 0.2410
Co 0.3726 0.6297 0.8744
Co 0.6236 0.3713 0.1206
Co 0.7602 0.2483 0.7617
O 0.0472 0.1779 0.5585
O 0.0836 0.6833 0.0685
O 0.1635 0.0664 0.2053
O 0.2100 0.5610 0.6743
O 0.3127 0.9182 0.8033
O 0.3293 0.4461 0.3193
O 0.4268 0.7907 0.4348
O 0.4450 0.3214 0.9333
O 0.5548 0.6760 0.0661
O 0.5816 0.2036 0.5547
O 0.6685 0.5561 0.6773
O 0.6939 0.0862 0.1975
O 0.7966 0.4271 0.3244
O 0.8207 0.9411 0.7997
O 0.9197 0.3201 0.9289
O 0.9395 0.8362 0.4335

Top 10 peaks for 2θ from 10° to 80°, most intense first:
| d_spacing | 2θ/deg | I/Imax |
| --- | --- | --- |
| 4.861 | 18.25 | 100.0 |
| 2.101 | 43.06 | 28.8 |
| 2.066 | 43.82 | 27.0 |
| 2.072 | 43.68 | 27.0 |
| 2.517 | 35.68 | 14.0 |
| 2.487 | 36.12 | 13.3 |
| 2.481 | 36.21 | 13.3 |
| 1.913 | 47.52 | 8.9 |
| 1.483 | 62.65 | 7.7 |
| 1.480 | 62.77 | 7.7 |



# KSmSnWO6
Simulated XRD peak list, Cu Kα (λ = 1.5418 Å). Input: a crystal structure in the Materials Project, relaxed with PBE+U.
Lines closer than 0.1° are merged.

Crystal structure
Cell lengths 6.0079, 6.0079, 6.0079 Å; angles 60.00, 60.00, 60.00 degrees
Element x y z (fractional)
K 0.0000 0.0000 0.0000
Sm 0.2500 0.2500 0.2500
Sn 0.5000 0.5000 0.5000
W 0.7500 0.7500 0.7500
O 0.5202 0.5202 0.9798
O 0.5202 0.9798 0.5202
O 0.5202 0.9798 0.9798
O 0.9798 0.5202 0.5202
O 0.9798 0.5202 0.9798
O 0.9798 0.9798 0.5202

Top 10 peaks for 2θ from 10° to 80°, most intense first:
| d_spacing | 2θ/deg | I/Imax |
| --- | --- | --- |
| 3.004 | 29.74 | 100.0 |
| 1.734 | 52.78 | 40.8 |
| 2.124 | 42.56 | 30.3 |
| 4.248 | 20.91 | 23.6 |
| 1.502 | 61.76 | 18.9 |
| 1.343 | 70.04 | 18.6 |
| 1.900 | 47.88 | 9.9 |
| 4.905 | 18.08 | 8.4 |
| 1.226 | 77.90 | 6.2 |
| 1.416 | 65.97 | 4.5 |



# Ba2SmMoO6
Simulated XRD peak list, Cu Kα (λ = 1.5418 Å). Input: a crystal structure in the Materials Project, relaxed with PBE+U.
Lines closer than 0.1° are merged.

Crystal structure
Cell lengths 6.0863, 6.0863, 6.0863 Å; angles 60.00, 60.00, 60.00 degrees
Element x y z (fractional)
Ba 0.2500 0.2500 0.2500
Ba 0.7500 0.7500 0.7500
Sm 0.0000 0.0000 0.0000
Mo 0.5000 0.5000 0.5000
O 0.2672 0.2672 0.7328
O 0.2672 0.7328 0.2672
O 0.2672 0.7328 0.7328
O 0.7328 0.2672 0.2672
O 0.7328 0.2672 0.7328
O 0.7328 0.7328 0.2672

Top 10 peaks for 2θ from 10° to 80°, most intense first:
| d_spacing | 2θ/deg | I/Imax |
| --- | --- | --- |
| 3.043 | 29.35 | 100.0 |
| 1.757 | 52.05 | 40.2 |
| 2.152 | 41.99 | 29.8 |
| 1.522 | 60.88 | 18.6 |
| 1.361 | 69.01 | 18.1 |
| 1.242 | 76.71 | 6.1 |
| 2.485 | 36.15 | 2.1 |
| 2.595 | 34.56 | 1.7 |
| 4.969 | 17.85 | 1.4 |
| 1.975 | 45.96 | 1.2 |



# Na3MoO4
Simulated XRD peak list, Cu Kα (λ = 1.5418 Å). Input: a crystal structure in the Materials Project, relaxed with PBE+U.
Lines closer than 0.1° are merged.

Crystal structure
Cell lengths 7.4659, 6.2168, 5.6642 Å; angles 90.00, 90.00, 90.00 degrees
Element x y z (fractional)
Na 0.0000 0.1592 0.0000
Na 0.2442 0.3282 0.5044
Na 0.2558 0.6718 0.0044
Na 0.5000 0.8408 0.5000
Na 0.7442 0.6718 0.0044
Na 0.7558 0.3282 0.5044
Mo 0.0000 0.8248 0.5148
Mo 0.5000 0.1752 0.0148
O 0.0000 0.1099 0.4058
O 0.0000 0.8080 0.8447
O 0.2154 0.6954 0.4204
O 0.2846 0.3046 0.9204
O 0.5000 0.1920 0.3447
O 0.5000 0.8901 0.9058
O 0.7154 0.3046 0.9204
O 0.7846 0.6954 0.4204

Top 10 peaks for 2θ from 10° to 80°, most intense first:
| d_spacing | 2θ/deg | I/Imax |
| --- | --- | --- |
| 2.786 | 32.12 | 100.0 |
| 4.512 | 19.67 | 98.2 |
| 4.777 | 18.57 | 89.9 |
| 2.832 | 31.59 | 72.8 |
| 3.200 | 27.88 | 67.6 |
| 4.187 | 21.22 | 62.3 |
| 1.812 | 50.36 | 45.2 |
| 3.108 | 28.72 | 44.0 |
| 2.725 | 32.87 | 42.3 |
| 1.626 | 56.60 | 40.9 |



# Na2ZrW3O12
Simulated XRD peak list, Cu Kα (λ = 1.5418 Å). Input: a crystal structure in the Materials Project, relaxed with PBE+U.
Lines closer than 0.1° are merged.

Crystal structure
Cell lengths 19.5102, 19.5102, 19.5102 Å; angles 164.95, 164.95, 21.35 degrees
Element x y z (fractional)
Na 0.0000 0.0000 0.0000
Na 0.1911 0.1911 0.0000
Na 0.7500 0.2500 0.5000
Na 0.9411 0.4411 0.5000
Zr 0.1046 0.6046 0.5000
Zr 0.3546 0.3546 0.0000
W 0.2723 0.7723 0.5000
W 0.4222 0.9222 0.5000
W 0.5223 0.5223 0.0000
W 0.5781 0.0781 0.5000
W 0.6722 0.6722 0.0000
W 0.8281 0.8281 0.0000
O 0.0330 0.6287 0.9453
O 0.1129 0.9808 0.6069
O 0.1236 0.0592 0.5398
O 0.2002 0.8150 0.1170
O 0.2484 0.1717 0.6256
O 0.2559 0.3629 0.6321
O 0.3337 0.3736 0.5643
O 0.3569 0.8473 0.1277
O 0.3728 0.4984 0.5767
O 0.3739 0.5059 0.3931
O 0.3787 0.9333 0.0957
O 0.5194 0.5837 0.4602
O 0.5461 0.6228 0.3744
O 0.5650 0.9480 0.1148
O 0.5973 0.9696 0.9904
O 0.6833 0.0876 0.0547
O 0.6980 0.0832 0.8830
O 0.7196 0.2292 0.8723
O 0.7308 0.6239 0.3679
O 0.8092 0.7694 0.4357
O 0.8332 0.4502 0.8852
O 0.8376 0.2830 0.9043
O 0.9217 0.7961 0.4233
O 0.9792 0.6069 0.0096

Top 10 peaks for 2θ from 10° to 80°, most intense first:
| d_spacing | 2θ/deg | I/Imax |
| --- | --- | --- |
| 3.146 | 28.37 | 100.0 |
| 3.737 | 23.81 | 59.2 |
| 5.066 | 17.50 | 48.8 |
| 2.555 | 35.12 | 42.3 |
| 1.807 | 50.51 | 37.9 |
| 1.567 | 58.94 | 26.0 |
| 2.109 | 42.87 | 18.4 |
| 1.996 | 45.44 | 15.3 |
| 3.195 | 27.92 | 12.2 |
| 2.282 | 39.49 | 11.6 |



# VPO7
Simulated XRD peak list, Cu Kα (λ = 1.5418 Å). Input: a crystal structure in the Materials Project, relaxed with PBE+U.
Lines closer than 0.1° are merged.

Crystal structure
Cell lengths 7.5327, 7.4867, 9.7210 Å; angles 90.00, 101.56, 90.00 degrees
Element x y z (fractional)
V 0.0087 0.1500 0.2191
V 0.0087 0.3500 0.7191
V 0.9913 0.6500 0.2809
V 0.9913 0.8500 0.7809
P 0.2445 0.1577 0.9778
P 0.2445 0.3423 0.4778
P 0.7555 0.6577 0.5222
P 0.7555 0.8423 0.0222
O 0.0672 0.6460 0.8089
O 0.0672 0.8540 0.3089
O 0.1228 0.1825 0.4027
O 0.1228 0.3175 0.9027
O 0.1581 0.5184 0.4042
O 0.1581 0.9816 0.9042
O 0.1981 0.1454 0.1305
O 0.1981 0.3546 0.6305
O 0.2789 0.6009 0.1490
O 0.2789 0.8991 0.6490
O 0.4136 0.5099 0.1950
O 0.4136 0.9901 0.6950
O 0.4384 0.1870 0.9813
O 0.4384 0.3130 0.4813
O 0.5616 0.6870 0.5187
O 0.5616 0.8130 0.0187
O 0.5864 0.0099 0.3050
O 0.5864 0.4901 0.8050
O 0.7211 0.1009 0.3510
O 0.7211 0.3991 0.8510
O 0.8019 0.6454 0.3695
O 0.8019 0.8546 0.8695
O 0.8419 0.0184 0.0958
O 0.8419 0.4816 0.5958
O 0.8772 0.6825 0.0973
O 0.8772 0.8175 0.5973
O 0.9328 0.1460 0.6911
O 0.9328 0.3540 0.1911

Top 10 peaks for 2θ from 10° to 80°, most intense first:
| d_spacing | 2θ/deg | I/Imax |
| --- | --- | --- |
| 7.380 | 11.99 | 100.0 |
| 3.249 | 27.45 | 49.0 |
| 3.065 | 29.14 | 46.0 |
| 5.256 | 16.87 | 42.7 |
| 3.484 | 25.57 | 35.0 |
| 3.302 | 27.00 | 29.9 |
| 5.886 | 15.05 | 24.7 |
| 4.426 | 20.06 | 23.3 |
| 3.680 | 24.19 | 15.0 |
| 2.390 | 37.64 | 14.6 |